1.
Starting from a crystal structure in Alexandria, relaxed with PBE, the XRD peak list of Pr2Ni4Ge was simulated for CuKα.

Top 10 peaks for 10° ≤ 2θ ≤ 80°, by angle:
hkl, Position (°2θ), I/Imax
0 2 0, 21.11, 28
0 2 2, 29.69, 75
2 0 2, 31.65, 80
2 2 2, 38.35, 100
3 1 1, 39.01, 19
0 0 4, 41.99, 42
0 4 0, 42.98, 38
2 4 2, 54.35, 32
0 4 4, 61.65, 25
2 0 6, 70.25, 20

Structure:
Cell lengths 7.5001, 8.4180, 8.6059 Å; angles 90.00, 90.00, 90.00 degrees
Space group Fmm2 (No. 42)
Symmetry-distinct sites (fractional):
Pr (0.2500, 0.2500, 0.0000)
Ni (0.0000, 0.2299, 0.2493)
Ni (0.1786, 0.0000, 0.2517)
Ge (0.0000, 0.0000, 0.7641)



2.
Starting from a crystal structure in Alexandria, relaxed with PBE, the XRD peak list of ZnS4 was simulated for CuKα.

Top 10 peaks for 10° ≤ 2θ ≤ 80°, by angle:
hkl, Position (°2θ), I/Imax
0 1 0, 18.69, 14
0 1 1, 19.81, 100
1 1 1, 26.64, 17
1 0 1, 27.56, 14
1 1 -1, 30.17, 22
1 -1 0, 34.87, 26
1 0 2, 36.05, 15
1 1 3, 43.52, 17
0 2 3, 47.41, 16
-1 2 1, 50.47, 17

Structure:
Cell lengths 3.9377, 5.1657, 7.1708 Å; angles 75.28, 87.57, 71.82 degrees
Space group P-1 (No. 2)
Symmetry-distinct sites (fractional):
Zn (0.0000, 0.0000, 0.0000)
S (0.1676, 0.2849, 0.5332)
S (0.3274, 0.2415, 0.8105)



3.
Starting from a crystal structure in Alexandria, relaxed with PBE, the XRD peak list of YCd3Pt4 was simulated for CuKα.

Top 10 peaks for 10° ≤ 2θ ≤ 80°, by angle:
hkl, Position (°2θ), I/Imax
2 0 1, 25.52, 10
0 0 2, 35.88, 31
4 0 0, 36.90, 37
1 0 2, 37.11, 17
2 2 1, 39.37, 100
3 0 2, 45.79, 10
4 0 2, 52.43, 11
6 2 1, 68.13, 21
4 4 0, 73.61, 10
4 2 3, 75.95, 10

Structure:
Cell lengths 9.7442, 6.0618, 5.0024 Å; angles 90.00, 90.00, 90.00 degrees
Space group Pmma (No. 51)
Symmetry-distinct sites (fractional):
Y (0.0000, 0.0000, 0.0000)
Cd (0.0000, 0.5000, 0.0000)
Cd (0.2500, 0.0000, 0.4161)
Cd (0.2500, 0.5000, 0.3967)
Pt (0.0000, 0.2564, 0.5000)
Pt (0.2500, 0.2614, 0.8922)



4.
Starting from a crystal structure in Alexandria, relaxed with PBE, the XRD peak list of Ba3Hg3Pd8 was simulated for CuKα.

Top 10 peaks for 10° ≤ 2θ ≤ 80°, by angle:
hkl, Position (°2θ), I/Imax
0 2 0, 16.75, 56
1 2 1, 26.24, 42
1 3 0, 31.79, 36
1 2 3, 31.97, 83
0 4 0, 33.86, 67
1 3 2, 34.34, 32
1 0 5, 37.50, 59
2 0 0, 38.57, 75
1 2 5, 41.32, 100
2 4 0, 52.26, 45

Structure:
Cell lengths 4.6688, 10.5882, 13.9786 Å; angles 90.00, 90.00, 90.00 degrees
Space group Immm (No. 71)
Symmetry-distinct sites (fractional):
Ba (0.0000, 0.0000, 0.0000)
Ba (0.0000, 0.0000, 0.2948)
Hg (0.0000, 0.2437, 0.5000)
Hg (0.0000, 0.5000, 0.0000)
Pd (0.0000, 0.2737, 0.1067)
Pd (0.0000, 0.2930, 0.2997)



5.
Starting from a crystal structure in Alexandria, relaxed with PBE, the XRD peak list of Sr4Pt2I was simulated for CuKα.

Top 10 peaks for 10° ≤ 2θ ≤ 80°, by angle:
hkl, Position (°2θ), I/Imax
0 0 6, 11.72, 36
0 0 12, 23.51, 9
1 0 7, 26.99, 100
1 0 13, 34.75, 20
0 1 14, 36.29, 29
1 1 0, 40.68, 39
1 1 6, 42.48, 10
0 1 20, 46.53, 12
0 2 7, 49.50, 19
2 1 7, 65.93, 16

Structure:
Cell lengths 4.4360, 4.4360, 45.3152 Å; angles 90.00, 90.00, 120.00 degrees
Space group R-3m (No. 166, hexagonal axes)
Symmetry-distinct sites (fractional):
Sr (0.0000, 0.0000, 0.1260)
Sr (0.0000, 0.0000, 0.2786)
Pt (0.0000, 0.0000, 0.4236)
I (0.0000, 0.0000, 0.0000)



6.
Starting from a crystal structure in Alexandria, relaxed with PBE, the XRD peak list of Ca2Ni15Ge2 was simulated for CuKα.

Top 10 peaks for 10° ≤ 2θ ≤ 80°, by angle:
hkl, Position (°2θ), I/Imax
1 0 1, 14.18, 32
1 1 0, 21.19, 19
3 0 0, 37.14, 30
0 2 4, 38.45, 28
2 2 0, 43.15, 59
3 0 3, 43.45, 79
0 0 6, 44.35, 45
2 2 3, 48.83, 100
1 1 6, 49.66, 29
6 0 0, 79.12, 21

Structure:
Cell lengths 8.3867, 8.3867, 12.2519 Å; angles 90.00, 90.00, 120.00 degrees
Space group R-3m (No. 166, hexagonal axes)
Symmetry-distinct sites (fractional):
Ca (0.0000, 0.0000, 0.1484)
Ni (0.0000, 0.2973, 0.5000)
Ni (0.0000, 0.5000, 0.0000)
Ni (0.0054, 0.5027, 0.3451)
Ge (0.0000, 0.0000, 0.3938)



7.
Starting from a crystal structure in Alexandria, relaxed with PBE, the XRD peak list of InH2Pt was simulated for CuKα.

Top 10 peaks for 10° ≤ 2θ ≤ 80°, by angle:
hkl, Position (°2θ), I/Imax
1 0 1, 20.50, 10
1 1 2, 32.96, 100
2 0 0, 35.38, 41
0 0 4, 43.51, 11
2 2 0, 50.89, 15
2 0 4, 57.27, 21
3 1 2, 61.98, 32
2 2 4, 69.14, 12
1 1 6, 73.17, 10
4 0 0, 74.84, 5

Structure:
Cell lengths 5.0747, 5.0747, 8.3203 Å; angles 90.00, 90.00, 90.00 degrees
Space group I-42d (No. 122)
Symmetry-distinct sites (fractional):
In (0.0000, 0.0000, 0.0000)
H (0.1032, 0.2500, 0.6250)
Pt (0.0000, 0.0000, 0.5000)



8.
Starting from a crystal structure in Alexandria, relaxed with PBE, the XRD peak list of RhPb4Se was simulated for CuKα.

Top 10 peaks for 10° ≤ 2θ ≤ 80°, by angle:
hkl, Position (°2θ), I/Imax
1 1 1, 17.37, 42
3 1 1, 33.62, 100
2 2 2, 35.17, 68
4 0 0, 40.83, 21
3 3 1, 44.68, 12
3 3 3, 53.89, 35
4 4 0, 59.12, 35
5 3 1, 62.12, 10
5 3 3, 69.76, 12
6 2 2, 70.68, 28

Structure:
Cell lengths 8.8404, 8.8404, 8.8404 Å; angles 90.00, 90.00, 90.00 degrees
Space group F-43m (No. 216)
Symmetry-distinct sites (fractional):
Rh (0.0000, 0.0000, 0.0000)
Pb (0.1256, 0.1256, 0.3744)
Se (0.2500, 0.2500, 0.7500)



9.
Starting from a crystal structure in Alexandria, relaxed with PBE, the XRD peak list of Cu2WAu was simulated for CuKα.

Top 10 peaks for 10° ≤ 2θ ≤ 80°, by angle:
hkl, Position (°2θ), I/Imax
0 1 0, 23.81, 39
0 0 2, 30.86, 21
1 0 0, 33.20, 17
0 1 2, 39.35, 100
1 1 0, 41.26, 88
1 0 2, 45.96, 64
0 2 0, 48.73, 27
1 1 2, 52.40, 20
1 2 2, 69.22, 37
1 1 4, 79.32, 25

Structure:
Cell lengths 2.6986, 3.7372, 5.7949 Å; angles 90.00, 90.00, 90.00 degrees
Space group Pmmm (No. 47)
Symmetry-distinct sites (fractional):
Cu (0.0000, 0.0000, 0.2354)
W (0.5000, 0.5000, 0.0000)
Au (0.5000, 0.5000, 0.5000)